Entry 1:
Structure and computed X-ray diffraction stick pattern of Pa6IrRh5 (a PBE-relaxed structure; copper Kα).
Neutral-atom scattering factors, no anomalous dispersion.

Structural model:
Cell lengths 6.842, 6.842, 13.550 Å; angles 90.00, 90.00, 120.00 degrees
Sites, in units of the cell vectors:
Pa 0.000 0.319 0.116
Pa 0.000 0.319 0.384
Pa 0.000 0.681 0.616
Pa 0.000 0.681 0.884
Pa 0.319 0.000 0.116
Pa 0.319 0.000 0.384
Pa 0.319 0.319 0.616
Pa 0.319 0.319 0.884
Pa 0.681 0.000 0.616
Pa 0.681 0.000 0.884
Pa 0.681 0.681 0.116
Pa 0.681 0.681 0.384
Ir 0.000 0.000 0.250
Ir 0.000 0.000 0.750
Rh 0.000 0.403 0.750
Rh 0.000 0.597 0.250
Rh 0.333 0.667 0.000
Rh 0.333 0.667 0.500
Rh 0.403 0.000 0.750
Rh 0.403 0.403 0.250
Rh 0.597 0.000 0.250
Rh 0.597 0.597 0.750
Rh 0.667 0.333 0.000
Rh 0.667 0.333 0.500

Peak list (12 most intense, 10 to 90 degrees two-theta, in order of rising 2θ)
| h k l | Position (°2θ) | d (Å) | intensity |
| --- | --- | --- | --- |
| 1 0 2 | 19.91 | 4.460 | 12 |
| 1 1 1 | 26.88 | 3.317 | 37 |
| 1 1 3 | 32.84 | 2.727 | 100 |
| 2 0 2 | 33.00 | 2.715 | 17 |
| 1 1 4 | 37.36 | 2.407 | 44 |
| 1 1 5 | 42.55 | 2.125 | 28 |
| 3 0 0 | 45.95 | 1.975 | 52 |
| 0 0 8 | 54.15 | 1.694 | 11 |
| 1 1 7 | 54.46 | 1.685 | 13 |
| 2 2 3 | 57.62 | 1.600 | 17 |
| 2 2 4 | 60.65 | 1.527 | 14 |
| 3 0 8 | 73.65 | 1.286 | 31 |

Entry 2:
Structure and computed X-ray diffraction stick pattern of Pa4Ir3Rh (a PBE-relaxed structure; copper Kα).
Neutral-atom scattering factors, no anomalous dispersion.

Structural model:
Cell lengths 3.453, 8.653, 10.868 Å; angles 90.00, 90.00, 90.00 degrees
Sites, in units of the cell vectors:
Pa 0.000 0.000 0.000
Pa 0.000 0.000 0.498
Pa 0.000 0.249 0.800
Pa 0.000 0.251 0.300
Pa 0.000 0.500 0.500
Pa 0.000 0.500 0.998
Pa 0.000 0.749 0.300
Pa 0.000 0.751 0.800
Ir 0.500 0.000 0.241
Ir 0.500 0.250 0.058
Ir 0.500 0.250 0.558
Ir 0.500 0.500 0.741
Ir 0.500 0.750 0.058
Ir 0.500 0.750 0.558
Rh 0.500 0.000 0.740
Rh 0.500 0.500 0.240

Peak list (12 most intense, 10 to 90 degrees two-theta, in order of rising 2θ)
| h k l | Position (°2θ) | d (Å) | intensity |
| --- | --- | --- | --- |
| 1 0 2 | 30.68 | 2.914 | 12 |
| 0 0 4 | 32.97 | 2.717 | 22 |
| 1 2 2 | 37.20 | 2.417 | 100 |
| 0 2 4 | 39.15 | 2.301 | 22 |
| 0 4 0 | 41.76 | 2.163 | 21 |
| 2 0 0 | 53.04 | 1.726 | 11 |
| 0 4 4 | 54.20 | 1.692 | 11 |
| 1 0 6 | 57.45 | 1.604 | 13 |
| 2 2 4 | 67.87 | 1.381 | 9 |
| 2 4 0 | 69.68 | 1.349 | 9 |
| 1 6 2 | 73.23 | 1.293 | 14 |
| 1 4 6 | 73.50 | 1.288 | 12 |

Entry 3:
Structure and computed X-ray diffraction stick pattern of PaSi2IrRh (a PBE-relaxed structure; copper Kα).
Neutral-atom scattering factors, no anomalous dispersion.

Structural model:
Cell lengths 4.048, 4.048, 10.074 Å; angles 90.00, 90.00, 90.00 degrees
Sites, in units of the cell vectors:
Pa 0.000 0.000 0.000
Pa 0.500 0.500 0.500
Si 0.000 0.000 0.383
Si 0.000 0.000 0.617
Si 0.500 0.500 0.117
Si 0.500 0.500 0.883
Ir 0.000 0.500 0.250
Ir 0.500 0.000 0.750
Rh 0.000 0.500 0.750
Rh 0.500 0.000 0.250

Peak list (12 most intense, 10 to 90 degrees two-theta, in order of rising 2θ)
| h k l | Position (°2θ) | d (Å) | intensity |
| --- | --- | --- | --- |
| 1 0 1 | 23.69 | 3.756 | 41 |
| 1 0 3 | 34.71 | 2.584 | 30 |
| 0 0 4 | 35.65 | 2.518 | 20 |
| 1 1 2 | 36.09 | 2.488 | 100 |
| 2 0 0 | 44.78 | 2.024 | 33 |
| 1 0 5 | 50.61 | 1.804 | 12 |
| 2 1 1 | 51.28 | 1.782 | 11 |
| 2 1 3 | 57.87 | 1.593 | 14 |
| 2 0 4 | 58.51 | 1.578 | 20 |
| 1 1 6 | 64.33 | 1.448 | 17 |
| 2 2 0 | 65.19 | 1.431 | 11 |
| 3 1 2 | 76.84 | 1.241 | 23 |